Li2Ag4Cl9: computed X-ray diffraction stick pattern (CuKα), based on a DFT-relaxed cell (PBE, Alexandria).

Structure:
Lattice parameters (Å, degrees): 6.4885 6.7627 18.4450 97.62 90.08 118.64
Space group P-1 (No. 2)
One atom of each set of equivalent atoms:
Li  0.0205  0.4947  0.3470
Li  0.0303  0.5078  0.1512
Ag  0.3179  0.1636  0.5113
Ag  0.3404  0.1855  0.3187
Ag  0.3451  0.1863  0.8180
Ag  0.3458  0.1643  0.0112
Cl  0.0067  0.8453  0.9234
Cl  0.0092  0.8419  0.2422
Cl  0.0510  0.1855  0.4156
Cl  0.2687  0.4992  0.2497
Cl  0.3330  0.4881  0.5984
Cl  0.3343  0.8436  0.7412
Cl  0.3372  0.8443  0.4236
Cl  0.3437  0.5115  0.9015
Cl  0.3663  0.8153  0.0846

Principal peaks in the range 2θ from 15° to 90°, low angle first:
15.10°, intensity 42, (0 1 0)
15.61°, intensity 100, (1 -1 0)
17.79°, intensity 43, (1 -1 2)
22.82°, intensity 73, (0 1 -4)
25.95°, intensity 49, (-1 1 4)
26.61°, intensity 64, (1 1 0)
37.28°, intensity 58, (1 -2 6)
40.68°, intensity 63, (-2 1 6)
42.70°, intensity 48, (-1 2 6)
48.07°, intensity 56, (3 -3 0)